Structure and theoretical powder X-ray diffraction pattern of MnTl3As2O8 (a structure optimized by DFT (PBE+U); Cu Kα, 1.54184 Å).

Crystal structure
Cell lengths 5.7895, 5.7895, 8.0166 Å; angles 90.00, 90.00, 120.00 degrees
Element x y z (fractional)
Mn 0.0000 0.0000 0.0000
Tl 0.0000 0.0000 0.5000
Tl 0.3333 0.6667 0.2459
Tl 0.6667 0.3333 0.7541
As 0.3333 0.6667 0.7785
As 0.6667 0.3333 0.2215
O 0.1679 0.3358 0.8413
O 0.1679 0.8321 0.8413
O 0.3333 0.6667 0.5657
O 0.3358 0.1679 0.1587
O 0.6642 0.8321 0.8413
O 0.6667 0.3333 0.4343
O 0.8321 0.1679 0.1587
O 0.8321 0.6642 0.1587

Principal peaks in the range 5° ≤ 2θ ≤ 70°, in order of falling intensity:
| 2θ/deg | I/Imax |
| --- | --- |
| 30.89 | 100 |
| 28.51 | 98 |
| 42.53 | 37 |
| 20.90 | 37 |
| 55.79 | 36 |
| 53.48 | 34 |
| 54.94 | 20 |
| 37.59 | 19 |
| 64.37 | 16 |
| 38.16 | 13 |